CoSi2Se4: theoretical X-ray powder pattern (a wavelength of 1.5418 Å), based on the GGA-PBE geometry in the Materials Project.

Peak list (12 most intense, 10 to 90 degrees two-theta, sorted by position)
2θ = 16.11°, rel. 26
2θ = 29.95°, rel. 22
2θ = 32.01°, rel. 36
2θ = 32.22°, rel. 72
2θ = 32.51°, rel. 100
2θ = 41.38°, rel. 21
2θ = 41.66°, rel. 24
2θ = 42.09°, rel. 49
2θ = 50.52°, rel. 45
2θ = 50.67°, rel. 25
2θ = 54.44°, rel. 21
2θ = 61.53°, rel. 15

Crystal structure
```
CoSi2Se4
1.0
13.371 0.000 0.000
0.000 3.603 0.000
-2.825 0.000 5.592
Co Si Se
2 4 8
direct
0.000 0.000 0.000
0.500 0.500 0.000
0.236 0.500 0.715
0.264 0.000 0.285
0.736 0.000 0.715
0.764 0.500 0.285
0.117 0.000 0.437
0.119 0.500 0.975
0.381 0.000 0.025
0.383 0.500 0.563
0.617 0.500 0.437
0.619 0.000 0.975
0.881 0.500 0.025
0.883 0.000 0.563
```


BaYF5: theoretical X-ray powder pattern (a wavelength of 1.5418 Å), based on the GGA-PBE geometry in the Materials Project.

Peak list (12 most intense, 10 to 90 degrees two-theta, sorted by position)
2θ = 20.63°, rel. 26
2θ = 20.95°, rel. 28
2θ = 23.21°, rel. 100
2θ = 23.40°, rel. 51
2θ = 25.80°, rel. 26
2θ = 27.92°, rel. 53
2θ = 28.19°, rel. 40
2θ = 28.40°, rel. 40
2θ = 31.19°, rel. 28
2θ = 39.00°, rel. 25
2θ = 42.36°, rel. 29
2θ = 42.69°, rel. 26

Crystal structure
```
BaYF5
1.0
5.737 0.000 0.000
0.000 10.299 0.000
-0.159 0.000 8.182
Ba Y F
4 4 20
direct
0.001 0.000 0.362
0.488 0.176 0.825
0.512 0.676 0.175
0.999 0.500 0.638
0.001 0.868 0.901
0.494 0.785 0.620
0.506 0.285 0.380
0.999 0.368 0.099
0.065 0.076 0.911
0.157 0.906 0.651
0.221 0.201 0.208
0.230 0.870 0.117
0.233 0.379 0.893
0.248 0.197 0.540
0.261 0.671 0.465
0.281 0.711 0.837
0.336 0.443 0.230
0.491 0.426 0.578
0.509 0.926 0.422
0.664 0.943 0.770
0.719 0.211 0.163
0.739 0.171 0.535
0.752 0.697 0.460
0.767 0.879 0.107
0.770 0.370 0.883
0.779 0.701 0.792
0.843 0.406 0.349
0.935 0.576 0.089
```


Gd2AlCd: theoretical X-ray powder pattern (a wavelength of 1.5418 Å), based on the GGA-PBE geometry in the Materials Project.

Peak list (12 most intense, 10 to 90 degrees two-theta, sorted by position)
2θ = 20.63°, rel. 9
2θ = 23.86°, rel. 17
2θ = 34.00°, rel. 100
2θ = 40.10°, rel. 5
2θ = 41.96°, rel. 5
2θ = 48.84°, rel. 18
2θ = 55.06°, rel. 7
2θ = 60.84°, rel. 37
2θ = 71.56°, rel. 11
2θ = 76.66°, rel. 4
2θ = 81.64°, rel. 16
2θ = 86.57°, rel. 2

Crystal structure
```
Gd2AlCd
1.0
7.459 0.000 0.000
0.000 7.459 0.000
0.000 0.000 7.459
Gd Al Cd
8 4 4
direct
0.250 0.250 0.250
0.250 0.250 0.750
0.250 0.750 0.250
0.250 0.750 0.750
0.750 0.250 0.250
0.750 0.250 0.750
0.750 0.750 0.250
0.750 0.750 0.750
0.000 0.000 0.000
0.000 0.500 0.500
0.500 0.000 0.500
0.500 0.500 0.000
0.000 0.000 0.500
0.000 0.500 0.000
0.500 0.000 0.000
0.500 0.500 0.500
```


Rb2LiPuCl4O2: theoretical X-ray powder pattern (a wavelength of 1.5418 Å), based on the GGA-PBE geometry in the Materials Project.

Peak list (12 most intense, 10 to 90 degrees two-theta, sorted by position)
2θ = 12.78°, rel. 20
2θ = 12.94°, rel. 83
2θ = 17.22°, rel. 34
2θ = 20.44°, rel. 41
2θ = 21.08°, rel. 100
2θ = 22.32°, rel. 74
2θ = 22.57°, rel. 48
2θ = 29.51°, rel. 55
2θ = 29.61°, rel. 22
2θ = 32.12°, rel. 64
2θ = 34.50°, rel. 42
2θ = 38.79°, rel. 32

Crystal structure
```
Rb2LiPuCl4O2
1.0
6.963 -3.933 0.000
6.963 3.933 0.000
-0.516 0.000 5.149
Rb Li Pu Cl O
2 1 1 4 2
direct
0.216 0.216 0.220
0.784 0.784 0.780
0.000 0.000 0.500
0.500 0.500 0.500
0.113 0.680 0.276
0.320 0.887 0.724
0.680 0.113 0.276
0.887 0.320 0.724
0.406 0.406 0.716
0.594 0.594 0.284
```